Theoretical XRD peak list of Li5Mn2CoO8 for Cu Kα (λ = 1.5418 Å), from the GGA+U geometry in Alexandria.
Lines closer than 0.1° are merged.

Cell and atoms:
```
data_Li5Mn2CoO8
_cell_length_a 5.053
_cell_length_b 5.737
_cell_length_c 5.741
_cell_angle_alpha 60.27
_cell_angle_beta 89.77
_cell_angle_gamma 73.14
_symmetry_space_group_name_H-M 'P 1'
_symmetry_Int_Tables_number 1
loop_
_symmetry_equiv_pos_as_xyz
'x,y,z'
loop_
_atom_site_label
_atom_site_fract_x
_atom_site_fract_y
_atom_site_fract_z
Li1 0.000 0.000 0.000
Li2 0.497 0.492 0.747
Li3 0.498 0.007 0.768
Li4 0.502 0.993 0.232
Li5 0.503 0.508 0.253
Mn1 0.000 0.000 0.500
Mn2 0.000 0.500 0.000
Co1 0.000 0.500 0.500
O1 0.220 0.258 0.368
O2 0.224 0.750 0.861
O3 0.225 0.752 0.387
O4 0.226 0.274 0.865
O5 0.774 0.726 0.135
O6 0.775 0.248 0.613
O7 0.776 0.250 0.139
O8 0.780 0.742 0.632
```

Main lines, in order of rising 2θ (10° ≤ 2θ ≤ 90°):
18.6 deg, intensity 100
23.7 deg, intensity 12
36.6 deg, intensity 26
36.8 deg, intensity 12
44.2 deg, intensity 61
44.6 deg, intensity 29
64.2 deg, intensity 16
65.0 deg, intensity 16

Theoretical XRD peak list of Li4MnCo2O7 for Cu Kα (λ = 1.5418 Å), from the GGA+U geometry in Alexandria.
Lines closer than 0.1° are merged.

Cell and atoms:
```
data_Li4MnCo2O7
_cell_length_a 2.858
_cell_length_b 5.045
_cell_length_c 17.213
_cell_angle_alpha 84.40
_cell_angle_beta 89.74
_cell_angle_gamma 73.66
_symmetry_space_group_name_H-M 'P 1'
_symmetry_Int_Tables_number 1
loop_
_symmetry_equiv_pos_as_xyz
'x,y,z'
loop_
_atom_site_label
_atom_site_fract_x
_atom_site_fract_y
_atom_site_fract_z
Li1 0.000 0.000 0.000
Li2 0.010 0.998 0.500
Li3 0.147 0.720 0.782
Li4 0.296 0.408 0.065
Li5 0.429 0.130 0.353
Li6 0.581 0.855 0.640
Li7 0.718 0.573 0.936
Li8 0.860 0.269 0.213
Mn1 0.430 0.150 0.859
Mn2 0.720 0.563 0.427
Co1 0.141 0.703 0.283
Co2 0.299 0.424 0.570
Co3 0.575 0.837 0.139
Co4 0.866 0.285 0.711
O1 0.057 0.893 0.885
O2 0.082 0.825 0.388
O3 0.196 0.590 0.179
O4 0.241 0.538 0.675
O5 0.358 0.302 0.465
O6 0.359 0.287 0.953
O7 0.490 0.033 0.747
O8 0.516 0.952 0.247
O9 0.648 0.705 0.046
O10 0.676 0.680 0.535
O11 0.764 0.447 0.319
O12 0.805 0.404 0.816
O13 0.924 0.173 0.607
O14 0.956 0.088 0.113
```

Main lines, in order of rising 2θ (10° ≤ 2θ ≤ 90°):
10.3 deg, intensity 10
18.6 deg, intensity 100
36.7 deg, intensity 25
36.9 deg, intensity 13
44.3 deg, intensity 27
44.5 deg, intensity 52
64.4 deg, intensity 13
65.2 deg, intensity 14

Theoretical XRD peak list of Li7Mn2Co3O12 for Cu Kα (λ = 1.5418 Å), from the GGA+U geometry in Alexandria.
Lines closer than 0.1° are merged.

Cell and atoms:
```
data_Li7Mn2Co3O12
_cell_length_a 5.125
_cell_length_b 5.820
_cell_length_c 7.750
_cell_angle_alpha 100.94
_cell_angle_beta 96.16
_cell_angle_gamma 106.43
_symmetry_space_group_name_H-M 'P 1'
_symmetry_Int_Tables_number 1
loop_
_symmetry_equiv_pos_as_xyz
'x,y,z'
loop_
_atom_site_label
_atom_site_fract_x
_atom_site_fract_y
_atom_site_fract_z
Li1 0.000 0.000 0.000
Li2 0.000 0.321 0.318
Li3 0.006 0.826 0.309
Li4 0.007 0.501 0.996
Li5 0.498 0.912 0.161
Li6 0.988 0.160 0.669
Li7 0.990 0.657 0.666
Mn1 0.493 0.237 0.490
Mn2 0.499 0.743 0.491
Co1 0.491 0.072 0.838
Co2 0.493 0.401 0.154
Co3 0.511 0.588 0.845
O1 0.254 0.292 0.911
O2 0.259 0.796 0.896
O3 0.267 0.131 0.260
O4 0.274 0.952 0.564
O5 0.281 0.616 0.257
O6 0.283 0.460 0.575
O7 0.710 0.348 0.732
O8 0.719 0.030 0.423
O9 0.721 0.527 0.419
O10 0.723 0.859 0.730
O11 0.732 0.217 0.077
O12 0.740 0.696 0.064
```

Main lines, in order of rising 2θ (10° ≤ 2θ ≤ 90°):
18.3 deg, intensity 100
35.9 deg, intensity 14
36.1 deg, intensity 26
43.5 deg, intensity 28
43.7 deg, intensity 57
47.7 deg, intensity 8
57.5 deg, intensity 9
63.0 deg, intensity 23

Theoretical XRD peak list of Li7Mn2Co3O12 for Cu Kα (λ = 1.5418 Å), from the GGA+U geometry in Alexandria.
Lines closer than 0.1° are merged.

Cell and atoms:
```
data_Li7Mn2Co3O12
_cell_length_a 5.896
_cell_length_b 6.513
_cell_length_c 6.543
_cell_angle_alpha 96.79
_cell_angle_beta 115.78
_cell_angle_gamma 103.49
_symmetry_space_group_name_H-M 'P 1'
_symmetry_Int_Tables_number 1
loop_
_symmetry_equiv_pos_as_xyz
'x,y,z'
loop_
_atom_site_label
_atom_site_fract_x
_atom_site_fract_y
_atom_site_fract_z
Li1 0.000 0.000 0.000
Li2 0.001 0.674 0.663
Li3 0.491 0.997 0.998
Li4 0.502 0.677 0.669
Li5 0.513 0.328 0.336
Li6 0.749 0.002 0.496
Li7 0.993 0.331 0.332
Mn1 0.249 0.000 0.496
Mn2 0.745 0.333 0.828
Co1 0.231 0.333 0.825
Co2 0.272 0.675 0.178
Co3 0.749 0.667 0.164
O1 0.088 0.335 0.056
O2 0.139 0.021 0.739
O3 0.141 0.688 0.421
O4 0.358 0.994 0.256
O5 0.368 0.654 0.916
O6 0.384 0.321 0.590
O7 0.605 0.020 0.737
O8 0.609 0.659 0.383
O9 0.629 0.352 0.068
O10 0.871 0.340 0.605
O11 0.872 0.651 0.932
O12 0.895 0.982 0.263
```

Main lines, in order of rising 2θ (10° ≤ 2θ ≤ 90°):
18.4 deg, intensity 100
35.7 deg, intensity 13
36.1 deg, intensity 13
36.6 deg, intensity 12
43.0 deg, intensity 29
43.8 deg, intensity 28
44.3 deg, intensity 27
63.1 deg, intensity 15

Theoretical XRD peak list of Li7Mn2Co3O12 for Cu Kα (λ = 1.5418 Å), from the GGA+U geometry in Alexandria.
Lines closer than 0.1° are merged.

Cell and atoms:
```
data_Li7Mn2Co3O12
_cell_length_a 7.760
_cell_length_b 7.760
_cell_length_c 9.779
_cell_angle_alpha 100.00
_cell_angle_beta 100.00
_cell_angle_gamma 21.47
_symmetry_space_group_name_H-M 'P 1'
_symmetry_Int_Tables_number 1
loop_
_symmetry_equiv_pos_as_xyz
'x,y,z'
loop_
_atom_site_label
_atom_site_fract_x
_atom_site_fract_y
_atom_site_fract_z
Li1 0.000 0.000 0.000
Li2 0.177 0.177 0.509
Li3 0.321 0.321 0.989
Li4 0.500 0.500 0.495
Li5 0.667 0.667 0.997
Li6 0.751 0.751 0.752
Li7 0.830 0.830 0.512
Mn1 0.086 0.086 0.751
Mn2 0.912 0.912 0.245
Co1 0.242 0.242 0.253
Co2 0.413 0.413 0.748
Co3 0.582 0.582 0.250
O1 0.029 0.029 0.358
O2 0.122 0.122 0.131
O3 0.195 0.195 0.865
O4 0.306 0.306 0.638
O5 0.377 0.377 0.357
O6 0.446 0.446 0.131
O7 0.538 0.538 0.855
O8 0.616 0.616 0.636
O9 0.710 0.710 0.378
O10 0.792 0.792 0.136
O11 0.883 0.883 0.859
O12 0.958 0.958 0.645
```

Main lines, in order of rising 2θ (10° ≤ 2θ ≤ 90°):
18.4 deg, intensity 100
35.9 deg, intensity 15
36.3 deg, intensity 27
43.6 deg, intensity 28
43.9 deg, intensity 56
57.8 deg, intensity 10
63.5 deg, intensity 15
63.7 deg, intensity 14

Theoretical XRD peak list of Li7Mn2Co3O12 for Cu Kα (λ = 1.5418 Å), from the GGA+U geometry in Alexandria.
Lines closer than 0.1° are merged.

Cell and atoms:
```
data_Li7Mn2Co3O12
_cell_length_a 7.595
_cell_length_b 7.595
_cell_length_c 10.137
_cell_angle_alpha 108.06
_cell_angle_beta 108.06
_cell_angle_gamma 21.78
_symmetry_space_group_name_H-M 'P 1'
_symmetry_Int_Tables_number 1
loop_
_symmetry_equiv_pos_as_xyz
'x,y,z'
loop_
_atom_site_label
_atom_site_fract_x
_atom_site_fract_y
_atom_site_fract_z
Li1 0.000 0.000 0.000
Li2 0.001 0.001 0.443
Li3 0.322 0.322 0.458
Li4 0.335 0.335 0.973
Li5 0.498 0.498 0.214
Li6 0.661 0.661 0.454
Li7 0.663 0.663 0.974
Mn1 0.495 0.495 0.716
Mn2 0.832 0.832 0.213
Co1 0.161 0.161 0.218
Co2 0.163 0.163 0.715
Co3 0.828 0.828 0.716
O1 0.077 0.077 0.826
O2 0.087 0.087 0.336
O3 0.250 0.250 0.106
O4 0.251 0.251 0.611
O5 0.402 0.402 0.328
O6 0.408 0.408 0.823
O7 0.583 0.583 0.608
O8 0.590 0.590 0.104
O9 0.740 0.740 0.819
O10 0.743 0.743 0.325
O11 0.903 0.903 0.095
O12 0.915 0.915 0.605
```

Main lines, in order of rising 2θ (10° ≤ 2θ ≤ 90°):
12.5 deg, intensity 11
18.4 deg, intensity 100
36.6 deg, intensity 24
36.8 deg, intensity 12
44.1 deg, intensity 53
44.5 deg, intensity 25
64.0 deg, intensity 13
65.0 deg, intensity 21